This entry pairs a crystal structure of Al9Re4 with its simulated XRD peak list. Radiation: Cu Kα (weighted mean of Kα1 and Kα2). Structure: a crystal structure in OQMD, relaxed with GGA-PBE.
Kinematic intensities with the Lorentz-polarization factor, no thermal factor.

Structural model:
Lattice parameters (Å, degrees): 4.9945 4.9945 26.0215 90.00 90.00 120.00
Space group R-3m (No. 166, hexagonal axes)
Asymmetric unit:
Al 0.0000 0.0000 0.0000
Al 0.0000 0.0000 0.4536
Al 0.0041 0.5021 0.4123
Re 0.0000 0.0000 0.1682
Re 0.0000 0.0000 0.3552

Top 12 peaks for 10° ≤ 2θ ≤ 80°, by angle:
index  two_theta  Rel. int.
0 0 6  20.48  43.8
0 1 2  21.65  28.8
1 0 4  24.72  64.6
1 1 0  35.96  86.0
1 0 10  40.45  34.5
1 1 6  41.73  100.0
0 1 11  43.61  37.2
0 2 4  44.13  24.7
3 0 0  64.63  24.2
0 3 6  68.59  21.6
1 2 11  69.95  18.5
2 2 0  76.23  25.9



This entry pairs a crystal structure of RbCuSe2 with its simulated XRD peak list. Radiation: Cu Kα (weighted mean of Kα1 and Kα2). Structure: a crystal structure in OQMD, relaxed with GGA-PBE.
Kinematic intensities with the Lorentz-polarization factor, no thermal factor.

Structural model:
Lattice parameters (Å, degrees): 5.9628 13.4036 21.7672 90.00 90.00 90.00
Space group Fddd (No. 70, origin choice 2)
Asymmetric unit:
Rb 0.1250 0.1250 0.3157
Cu 0.1250 0.1250 0.1250
Cu 0.1250 0.1250 0.6250
Se 0.1188 0.2836 0.8084

Top 12 peaks for 10° ≤ 2θ ≤ 80°, by angle:
index  two_theta  Rel. int.
0 2 2  15.53  19.2
1 3 1  25.24  23.1
1 3 3  27.82  100.0
1 3 5  32.40  61.8
0 0 8  32.90  28.5
2 0 6  39.11  48.2
0 6 6  47.82  25.5
2 6 0  51.09  32.6
3 3 3  51.90  17.1
2 0 10  52.02  15.9
1 3 11  52.88  16.1
3 3 5  54.77  16.1



This entry pairs a crystal structure of Cs2Ba3Cu2Sb2S10 with its simulated XRD peak list. Radiation: Cu Kα (weighted mean of Kα1 and Kα2). Structure: a crystal structure in OQMD, relaxed with GGA-PBE.
Kinematic intensities with the Lorentz-polarization factor, no thermal factor.

Structural model:
Lattice parameters (Å, degrees): 16.3324 7.4941 9.4580 90.00 116.40 90.00
Space group C2/m (No. 12)
Asymmetric unit:
Cs 0.2092 0.0000 0.4310
Ba 0.0000 0.5000 0.5000
Ba 0.1656 0.5000 0.0123
Cu 0.0000 0.2076 0.0000
Sb 0.0674 0.0000 0.7231
S 0.0620 0.3558 0.2358
S 0.1146 0.0000 0.0086
S 0.1677 0.2452 0.7274

Top 12 peaks for 10° ≤ 2θ ≤ 80°, by angle:
index  two_theta  Rel. int.
4 0 -1  21.77  15.8
1 1 -2  22.47  40.3
0 2 0  23.75  38.5
4 0 -2  24.04  22.8
3 1 1  27.54  100.0
5 1 -1  30.00  18.9
2 2 -2  30.58  22.4
3 1 -3  31.07  28.9
1 1 -3  31.84  36.8
4 2 -1  32.43  88.2
1 3 -2  40.99  23.3
0 0 4  42.69  16.2



This entry pairs a crystal structure of CuRe6Ir with its simulated XRD peak list. Radiation: Cu Kα (weighted mean of Kα1 and Kα2). Structure: a crystal structure in OQMD, relaxed with GGA-PBE.
Kinematic intensities with the Lorentz-polarization factor, no thermal factor.

Structural model:
Lattice parameters (Å, degrees): 5.5115 5.5115 4.3788 90.00 90.00 120.00
Space group P-6m2 (No. 187)
Asymmetric unit:
Cu 0.0000 0.0000 0.0000
Re 0.0119 0.5060 0.0000
Re 0.1669 0.3338 0.5000
Ir 0.6667 0.3333 0.5000

Top 12 peaks for 10° ≤ 2θ ≤ 80°, by angle:
index  two_theta  Rel. int.
1 0 0  18.59  4.4
0 0 1  20.28  1.2
1 0 1  27.65  3.1
2 0 0  37.69  24.8
1 1 1  38.60  1.4
0 0 2  41.23  25.3
2 0 1  43.17  100.0
1 0 2  45.58  0.9
2 1 1  55.05  1.1
2 0 2  57.09  15.1
2 2 0  68.04  17.2
2 0 3  76.50  18.8



This entry pairs a crystal structure of PmZr2 with its simulated XRD peak list. Radiation: Cu Kα (weighted mean of Kα1 and Kα2). Structure: a crystal structure in OQMD, relaxed with GGA-PBE.
Kinematic intensities with the Lorentz-polarization factor, no thermal factor.

Structural model:
Lattice parameters (Å, degrees): 10.4411 5.7195 5.3434 90.00 90.00 90.00
Space group Cmcm (No. 63)
Asymmetric unit:
Pm 0.0000 0.1938 0.2500
Zr 0.1837 0.3416 0.7500

Top 12 peaks for 10° ≤ 2θ ≤ 80°, by angle:
index  two_theta  Rel. int.
1 1 1  24.34  16.4
3 1 0  30.06  19.2
0 2 0  31.28  14.0
0 0 2  33.54  36.7
3 1 1  34.52  100.0
0 2 1  35.61  39.5
3 1 2  45.65  11.9
0 2 2  46.52  9.2
3 3 0  54.91  14.5
3 1 3  60.60  19.2
6 2 1  65.13  10.0
3 3 2  65.90  16.5



This entry pairs a crystal structure of NdUCl6 with its simulated XRD peak list. Radiation: Cu Kα (weighted mean of Kα1 and Kα2). Structure: a crystal structure in OQMD, relaxed with GGA-PBE.
Kinematic intensities with the Lorentz-polarization factor, no thermal factor.

Structural model:
Lattice parameters (Å, degrees): 7.4795 7.4795 4.2683 90.00 90.00 120.00
Space group P-6 (No. 174)
Asymmetric unit:
Nd 0.0000 0.0000 0.0000
U 0.3333 0.6667 0.5000
Cl 0.0562 0.6372 0.0000
Cl 0.2764 0.0296 0.5000

Top 12 peaks for 10° ≤ 2θ ≤ 80°, by angle:
index  two_theta  Rel. int.
1 0 0  13.67  100.0
1 1 0  23.79  48.8
1 0 1  24.98  73.7
2 0 0  27.54  18.1
1 1 1  31.81  17.2
2 0 1  34.77  78.5
2 1 0  36.71  15.7
3 0 0  41.84  29.4
2 1 1  42.57  69.1
1 3 1  55.50  16.8
3 0 2  61.05  19.1
2 3 1  66.64  24.0